1.
For KAg2IF2, the PBE geometry in Alexandria gives the calculated powder XRD pattern in this record (Cu Kα, 1.54184 Å).
Peak positions follow from Bragg's law for the DFT cell and can differ from measured ones.

Largest 10 diffraction maxima, sorted by position, 10° ≤ 2θ ≤ 90°:
two_theta  Rel. int.
10.32  100
14.71  20
15.87  29
25.24  27
25.89  18
31.34  28
33.80  19
34.98  36
42.42  20
45.16  25

Cell and atoms:
```
12
Lattice="6.196 0.000 0.000 0.000 5.777 0.000 -2.078 0.000 8.568" Properties=species:S:1:pos:R:3 pbc="T T T"
K 0.434 1.444 3.597
K 3.684 4.332 4.971
Ag 0.490 2.906 7.232
Ag 0.490 5.759 7.232
Ag 3.627 0.017 1.336
Ag 3.627 2.871 1.336
I 1.188 4.332 0.732
I 2.930 1.444 7.836
F -0.716 1.444 5.838
F 1.112 4.332 5.404
F 3.005 1.444 3.164
F 4.834 4.332 2.730
```

2.
For K2AgI2F2, the PBE geometry in Alexandria gives the calculated powder XRD pattern in this record (Cu Kα, 1.54184 Å).
Peak positions follow from Bragg's law for the DFT cell and can differ from measured ones.

Largest 10 diffraction maxima, sorted by position, 10° ≤ 2θ ≤ 90°:
two_theta  Rel. int.
19.27  80
26.37  100
31.14  22
32.02  60
37.64  55
41.25  58
42.63  21
49.63  23
50.23  32
57.07  26

Cell and atoms:
```
14
Lattice="4.779 0.000 0.000 0.000 4.779 0.000 0.000 0.000 17.233" Properties=species:S:1:pos:R:3 pbc="T T T"
K 0.000 0.000 1.695
K 0.000 0.000 15.537
K 2.389 2.389 6.921
K 2.389 2.389 10.311
Ag 0.000 0.000 8.616
Ag 2.389 2.389 0.000
I 0.000 0.000 5.826
I 0.000 0.000 11.407
I 2.389 2.389 2.791
I 2.389 2.389 14.442
F 0.000 2.389 0.000
F 0.000 2.389 8.616
F 2.389 0.000 0.000
F 2.389 0.000 8.616
```

3.
For Ag2IOF, the PBE geometry in Alexandria gives the calculated powder XRD pattern in this record (Cu Kα, 1.54184 Å).
Peak positions follow from Bragg's law for the DFT cell and can differ from measured ones.

Largest 10 diffraction maxima, sorted by position, 10° ≤ 2θ ≤ 90°:
two_theta  Rel. int.
16.91  23
25.58  39
29.67  100
30.90  65
32.01  83
34.26  87
34.34  34
45.98  36
48.61  39
57.13  30

Cell and atoms:
```
10
Lattice="3.947 0.000 0.000 0.000 10.488 0.000 -0.002 0.000 4.657" Properties=species:S:1:pos:R:3 pbc="T T T"
Ag 0.979 0.000 0.677
Ag 0.978 2.812 1.928
Ag 2.966 5.244 3.979
Ag 2.967 8.055 2.729
I 0.993 6.456 1.232
I 2.952 1.212 3.424
O 0.992 5.011 2.651
O 2.953 10.255 2.006
F 0.991 8.266 4.260
F 2.953 3.022 0.396
```

4.
For Ag2PI2F4, the PBE geometry in Alexandria gives the calculated powder XRD pattern in this record (Cu Kα, 1.54184 Å).
Peak positions follow from Bragg's law for the DFT cell and can differ from measured ones.

Largest 10 diffraction maxima, sorted by position, 10° ≤ 2θ ≤ 90°:
two_theta  Rel. int.
12.61  34
20.75  100
29.74  23
31.98  30
32.20  46
34.50  22
35.44  20
38.44  59
38.78  19
51.11  20

Cell and atoms:
```
9
Lattice="7.046 -2.798 0.000 7.046 2.798 0.000 -0.420 0.000 5.066" Properties=species:S:1:pos:R:3 pbc="T T T"
Ag 2.035 0.000 1.554
Ag 11.636 0.000 3.513
P 0.000 0.000 0.000
I 4.078 0.000 3.571
I 9.593 0.000 1.495
F 6.381 1.633 0.975
F 7.290 1.633 4.091
F 6.381 -1.633 0.975
F 7.290 -1.633 4.091
```

Q: Number 2 is which compound?
A: K2AgI2F2